Theoretical PXRD pattern of CsTlCoF6 for a wavelength of 1.5418 Å, from a structure optimized by DFT (PBE+U).
Peak positions follow from Bragg's law for the DFT cell and can differ from measured ones.

Top 12 peaks for 2θ from 15° to 90°, in order of falling intensity:
2theta, d [Å], I/Imax, index
26.5, 3.366, 100, 1 2 1
28.0, 3.189, 51, 0 2 2
48.2, 1.887, 45, 2 2 4
29.4, 3.033, 42, 2 0 2
43.6, 2.078, 30, 3 2 1
27.7, 3.224, 30, 2 1 1
28.4, 3.143, 27, 1 0 3
17.1, 5.197, 24, 0 0 2
23.8, 3.736, 22, 2 0 0
36.2, 2.482, 21, 1 2 3
23.6, 3.774, 20, 1 1 2
37.1, 2.424, 20, 3 0 1

```
data_CsTlCoF6
_cell_length_a 7.472
_cell_length_b 8.090
_cell_length_c 10.394
_cell_angle_alpha 90.00
_cell_angle_beta 90.00
_cell_angle_gamma 90.00
_space_group_name_H-M_alt 'I m m a'
_space_group_IT_number 74
_space_group_name_Hall '-I 2b 2'
loop_
_atom_site_label
_atom_site_type_symbol
_atom_site_fract_x
_atom_site_fract_y
_atom_site_fract_z
_atom_site_occupancy
Cs1 Cs 0.000 0.250 0.099 1
Tl1 Tl 0.000 0.000 0.500 1
Co1 Co 0.250 0.250 0.750 1
F1 F 0.000 0.250 0.395 1
F2 F 0.000 0.250 0.703 1
F3 F 0.220 0.087 0.874 1
```